(1)
Diffraction record for NaCuS. The XRD peak list is computed, not measured: it uses a structure optimized by DFT (GGA-PBE) and Cu Kα (λ = 1.5418 Å).
No peak broadening, texture or thermal motion is included.

Largest 6 diffraction maxima, in order of rising 2θ, 10 to 90 degrees two-theta:
2θ (°)  d/Å  I (rel.)  (hkl)
18.17  4.883  100  1 1 0
18.67  4.753  79  2 0 0
32.34  2.769  68  3 1 0
39.81  2.264  63  1 1 2
51.78  1.765  28  2 2 2
52.59  1.740  26  4 0 2

Lattice parameters (Å, degrees): 9.5058 5.6920 5.1113 90.00 90.00 90.00
Space group Pna2_1 (No. 33)
Inequivalent atoms, fractional coordinates:
Na1 0.1468 0.0223 0.0000 (multiplicity 4)
Cu1 0.9998 0.5005 0.2499 (multiplicity 4)
S1 0.1058 0.2518 0.4991 (multiplicity 4)

---

(2)
Diffraction record for LiTcAg2. The XRD peak list is computed, not measured: it uses a structure optimized by DFT (GGA-PBE) and Cu Kα (λ = 1.5418 Å).
No peak broadening, texture or thermal motion is included.

Largest 6 diffraction maxima, in order of rising 2θ, 10 to 90 degrees two-theta:
2θ (°)  d/Å  I (rel.)  (hkl)
24.17  3.682  27  1 1 1
27.98  3.189  11  2 0 0
39.99  2.255  100  2 2 0
47.27  1.923  13  3 1 1
57.84  1.594  16  4 0 0
72.63  1.302  32  4 2 2

Lattice parameters (Å, degrees): 6.3771 6.3771 6.3771 90.00 90.00 90.00
Space group F-43m (No. 216)
Inequivalent atoms, fractional coordinates:
Li1 0.0000 0.0000 0.0000 (multiplicity 4)
Tc1 0.2500 0.2500 0.2500 (multiplicity 4)
Ag1 0.0000 0.0000 0.5000 (multiplicity 4)
Ag2 0.2500 0.2500 0.7500 (multiplicity 4)

---

(3)
Diffraction record for DyErB3. The XRD peak list is computed, not measured: it uses a structure optimized by DFT (GGA-PBE) and Cu Kα (λ = 1.5418 Å).
No peak broadening, texture or thermal motion is included.

Largest 6 diffraction maxima, in order of rising 2θ, 10 to 90 degrees two-theta:
2θ (°)  d/Å  I (rel.)  (hkl)
23.93  3.719  89  0 0 2
30.39  2.941  52  2 0 0
31.47  2.843  100  1 1 0
38.57  2.334  34  2 0 -2
39.68  2.271  60  1 1 -2
40.15  2.246  58  1 1 2

Lattice parameters (Å, degrees): 5.8838 3.2475 7.4408 90.00 91.38 90.00
Space group P2_1/m (No. 11)
Inequivalent atoms, fractional coordinates:
Dy1 0.2423 0.2500 0.2428 (multiplicity 2)
Er1 0.2568 0.2500 0.7469 (multiplicity 2)
B1 0.0797 0.7500 0.4990 (multiplicity 2)
B2 0.4201 0.7500 0.4990 (multiplicity 2)
B3 0.4500 0.7500 0.9968 (multiplicity 2)